Structure and computed PXRD pattern of Li2MgHgF (a structure optimized by DFT (GGA-PBE); λ = 1.5418 Å (Cu Kα)).
Neutral-atom scattering factors, no anomalous dispersion.

Top 10 peaks for 2θ from 10° to 90°, in order of rising 2θ:
2θ/deg	I/Imax
20.2	63
21.7	66
29.8	100
30.8	68
37.2	70
44.2	30
49.0	27
52.3	31
54.2	38
62.0	22

Atomic structure:
```
data_Li2MgHgF
_chemical_formula_sum 'Li2 Mg1 Hg1 F1'
_symmetry_space_group_name_H-M 'P 4/m m m'
_symmetry_Int_Tables_number 123
_symmetry_space_group_name_Hall '-P 4 2'
_cell_length_a 4.100
_cell_length_b 4.100
_cell_length_c 4.388
_cell_angle_alpha 90.00
_cell_angle_beta 90.00
_cell_angle_gamma 90.00
loop_
_atom_site_label
_atom_site_fract_x
_atom_site_fract_y
_atom_site_fract_z
Li1 0.000 0.500 0.000
Mg1 0.000 0.000 0.500
Hg1 0.500 0.500 0.500
F1 0.000 0.000 0.000
```